Entry 1:
The following is a calculated powder XRD pattern of Tm2Mn3Si5. It was derived from a cell relaxed with PBE, using Cu Kα, 1.54184 Å.
Peak positions follow from Bragg's law for the DFT cell and can differ from measured ones.

Most intense lines, 15 to 90 degrees two-theta, sorted by position:
two_theta  intensity
18.85  21
25.16  29
31.62  100
33.38  24
35.14  30
38.23  28
38.60  28
39.06  43
41.47  44
49.62  17
53.54  21
58.55  17

Atomic structure:
Cell lengths 10.529, 10.529, 5.369 Å; angles 90.00, 90.00, 90.00 degrees
Fractional coordinates of all 40 atoms:
Tm 0.076 0.236 0.000
Tm 0.236 0.924 0.000
Tm 0.264 0.424 0.500
Tm 0.424 0.736 0.500
Tm 0.576 0.264 0.500
Tm 0.736 0.576 0.500
Tm 0.764 0.076 0.000
Tm 0.924 0.764 0.000
Mn 0.000 0.500 0.250
Mn 0.000 0.500 0.750
Mn 0.121 0.854 0.500
Mn 0.146 0.121 0.500
Mn 0.354 0.621 0.000
Mn 0.379 0.354 0.000
Mn 0.500 0.000 0.250
Mn 0.500 0.000 0.750
Mn 0.621 0.646 0.000
Mn 0.646 0.379 0.000
Mn 0.854 0.879 0.500
Mn 0.879 0.146 0.500
Si 0.000 0.000 0.255
Si 0.000 0.000 0.745
Si 0.025 0.314 0.500
Si 0.174 0.674 0.250
Si 0.174 0.674 0.750
Si 0.186 0.475 0.000
Si 0.314 0.975 0.500
Si 0.326 0.174 0.250
Si 0.326 0.174 0.750
Si 0.475 0.814 0.000
Si 0.500 0.500 0.245
Si 0.500 0.500 0.755
Si 0.525 0.186 0.000
Si 0.674 0.826 0.250
Si 0.674 0.826 0.750
Si 0.686 0.025 0.500
Si 0.814 0.525 0.000
Si 0.826 0.326 0.250
Si 0.826 0.326 0.750
Si 0.975 0.686 0.500



Entry 2:
The following is a calculated powder XRD pattern of Te6Mo3WSe2. It was derived from a cell relaxed with PBE, using Cu Kα, 1.54184 Å.
Peak positions follow from Bragg's law for the DFT cell and can differ from measured ones.

Most intense lines, 15 to 90 degrees two-theta, sorted by position:
two_theta  intensity
29.52  62
31.63  13
34.73  100
36.00  12
42.07  66
43.79  22
52.34  41
57.58  13
64.34  17
69.30  15
73.92  19
87.47  15

Atomic structure:
Cell lengths 3.496, 3.496, 39.607 Å; angles 90.00, 90.00, 120.00 degrees
Fractional coordinates of all 12 atoms:
Te 0.000 0.000 0.000
Te 0.000 0.000 0.093
Te 0.000 0.000 0.376
Te 0.000 0.000 0.468
Te 0.333 0.667 0.812
Te 0.333 0.667 0.905
Mo 0.000 0.000 0.858
Mo 0.333 0.667 0.046
Mo 0.333 0.667 0.422
W 0.000 0.000 0.234
Se 0.333 0.667 0.193
Se 0.333 0.667 0.275



Entry 3:
The following is a calculated powder XRD pattern of Ba2TbZrO6. It was derived from a cell relaxed with PBE, using Cu Kα, 1.54184 Å.
Peak positions follow from Bragg's law for the DFT cell and can differ from measured ones.

Most intense lines, 15 to 90 degrees two-theta, sorted by position:
two_theta  intensity
17.60  3
28.94  100
34.07  2
35.64  2
41.38  30
45.29  1
51.28  41
59.96  19
67.93  18
75.46  6
82.75  21
89.93  3

Atomic structure:
Cell lengths 6.171, 6.171, 6.171 Å; angles 60.00, 60.00, 60.00 degrees
Fractional coordinates of all 10 atoms:
Ba 0.250 0.250 0.250
Ba 0.750 0.750 0.750
Tb 0.000 0.000 0.000
Zr 0.500 0.500 0.500
O 0.258 0.258 0.742
O 0.258 0.742 0.258
O 0.258 0.742 0.742
O 0.742 0.258 0.258
O 0.742 0.258 0.742
O 0.742 0.742 0.258



Entry 4:
The following is a calculated powder XRD pattern of NdCu5Sn. It was derived from a cell relaxed with PBE, using Cu Kα, 1.54184 Å.
Peak positions follow from Bragg's law for the DFT cell and can differ from measured ones.

Most intense lines, 15 to 90 degrees two-theta, sorted by position:
two_theta  intensity
30.64  30
35.26  81
37.61  70
37.79  100
40.63  27
42.42  35
43.75  25
44.01  48
45.08  49
64.78  29
64.89  30
69.57  25

Atomic structure:
Cell lengths 8.351, 5.095, 10.679 Å; angles 90.00, 90.00, 90.00 degrees
Fractional coordinates of all 28 atoms:
Nd 0.244 0.250 0.062
Nd 0.256 0.750 0.562
Nd 0.744 0.250 0.438
Nd 0.756 0.750 0.938
Cu 0.059 0.750 0.105
Cu 0.065 0.000 0.313
Cu 0.065 0.500 0.313
Cu 0.087 0.250 0.517
Cu 0.185 0.250 0.747
Cu 0.315 0.750 0.247
Cu 0.413 0.750 0.017
Cu 0.435 0.000 0.813
Cu 0.435 0.500 0.813
Cu 0.441 0.250 0.605
Cu 0.559 0.750 0.395
Cu 0.565 0.000 0.187
Cu 0.565 0.500 0.187
Cu 0.587 0.250 0.983
Cu 0.685 0.250 0.753
Cu 0.815 0.750 0.253
Cu 0.913 0.750 0.483
Cu 0.935 0.000 0.687
Cu 0.935 0.500 0.687
Cu 0.941 0.250 0.895
Sn 0.142 0.750 0.861
Sn 0.358 0.250 0.361
Sn 0.642 0.750 0.639
Sn 0.858 0.250 0.139